1.
Sr4CaYGa2Cu4O14: simulated XRD peak list (Cu Kα (weighted mean of Kα1 and Kα2)), based on the PBE geometry in the Materials Project.
No peak broadening, texture or thermal motion is included.

Crystal structure
```
Sr4CaYGa2Cu4O14
1.0
7.087 0.000 0.000
-2.189 7.364 0.000
-0.861 -1.644 7.939
Sr Ca Y Ga Cu O
4 1 1 2 4 14
direct
0.000 0.000 0.000
0.038 0.518 0.819
0.223 0.983 0.445
0.789 0.147 0.436
0.995 0.533 0.238
0.475 0.398 0.757
0.532 0.814 0.688
0.601 0.160 0.990
0.356 0.363 0.340
0.404 0.875 0.102
0.575 0.682 0.295
0.830 0.686 0.552
0.093 0.193 0.285
0.130 0.202 0.705
0.137 0.775 0.090
0.213 0.275 0.890
0.318 0.533 0.222
0.350 0.620 0.738
0.491 0.274 0.499
0.507 0.052 0.771
0.521 0.866 0.473
0.674 0.013 0.123
0.734 0.397 0.986
0.756 0.730 0.767
0.858 0.770 0.350
0.934 0.486 0.506
```

Principal peaks in the range 2θ = 10–80°, in order of falling intensity:
two_theta, I (rel.)
27.76, 1000
31.59, 758
32.10, 646
27.89, 419
27.28, 383
41.44, 379
27.16, 373
39.29, 339
35.63, 312
31.03, 290

---

2.
Zr3AlN: simulated XRD peak list (Cu Kα (weighted mean of Kα1 and Kα2)), based on the PBE geometry in the Materials Project.
No peak broadening, texture or thermal motion is included.

Crystal structure
```
Zr3AlN
1.0
1.693 -5.785 0.000
1.693 5.785 0.000
0.000 0.000 9.032
Zr Al N
6 2 2
direct
0.045 0.955 0.750
0.373 0.627 0.542
0.373 0.627 0.958
0.627 0.373 0.042
0.627 0.373 0.458
0.955 0.045 0.250
0.252 0.748 0.250
0.748 0.252 0.750
0.000 0.000 0.000
0.000 0.000 0.500
```

Principal peaks in the range 2θ = 10–80°, in order of falling intensity:
two_theta, I (rel.)
33.99, 1000
35.27, 581
36.90, 515
33.56, 502
36.69, 392
39.93, 225
63.12, 219
15.32, 195
54.17, 183
67.35, 173

---

3.
NpPd3: simulated XRD peak list (Cu Kα (weighted mean of Kα1 and Kα2)), based on the PBE geometry in the Materials Project.
No peak broadening, texture or thermal motion is included.

Crystal structure
```
NpPd3
1.0
2.922 -5.078 0.000
2.922 5.078 0.000
0.000 0.000 9.664
Np Pd
4 12
direct
0.000 0.000 0.000
0.000 0.000 0.500
0.333 0.667 0.750
0.667 0.333 0.250
0.000 0.500 0.000
0.000 0.500 0.500
0.171 0.344 0.250
0.173 0.827 0.250
0.344 0.171 0.750
0.500 0.000 0.000
0.500 0.000 0.500
0.500 0.500 0.000
0.500 0.500 0.500
0.656 0.829 0.250
0.827 0.173 0.750
0.829 0.656 0.750
```

Principal peaks in the range 2θ = 10–80°, in order of falling intensity:
two_theta, I (rel.)
40.17, 1000
36.65, 428
37.22, 367
45.53, 232
75.98, 181
25.47, 177
63.51, 152
69.11, 137
60.21, 101
77.99, 95

---

4.
NaZnSiO4: simulated XRD peak list (Cu Kα (weighted mean of Kα1 and Kα2)), based on the PBE geometry in the Materials Project.
No peak broadening, texture or thermal motion is included.

Crystal structure
```
NaZnSiO4
1.0
5.188 0.000 0.000
0.000 7.529 0.000
0.000 0.000 9.597
Na Zn Si O
4 4 4 16
direct
0.024 0.211 0.345
0.476 0.789 0.845
0.524 0.289 0.655
0.976 0.711 0.155
0.022 0.100 0.991
0.478 0.900 0.491
0.522 0.400 0.009
0.978 0.600 0.509
0.012 0.486 0.838
0.488 0.514 0.338
0.512 0.014 0.162
0.988 0.986 0.662
0.088 0.964 0.824
0.115 0.169 0.597
0.132 0.830 0.569
0.175 0.522 0.347
0.325 0.478 0.847
0.368 0.170 0.069
0.385 0.831 0.097
0.412 0.036 0.324
0.588 0.536 0.176
0.615 0.331 0.403
0.632 0.670 0.431
0.675 0.978 0.653
0.825 0.022 0.153
0.868 0.330 0.931
0.885 0.669 0.903
0.912 0.464 0.676
```

Principal peaks in the range 2θ = 10–80°, in order of falling intensity:
two_theta, I (rel.)
34.88, 1000
35.04, 922
22.78, 866
29.31, 765
14.96, 736
30.36, 722
34.58, 696
18.49, 569
37.02, 530
30.79, 488